[1]
AcCr2PN2: calculated powder XRD pattern (copper Kα), based on a structure optimized by DFT (GGA-PBE).

Largest 8 diffraction maxima, in order of rising 2θ, 15° ≤ 2θ ≤ 90°:
3.896 Å, I 93; 3.709 Å, I 81; 3.580 Å, I 100; 3.416 Å, I 45; 3.069 Å, I 70; 2.731 Å, I 64; 2.489 Å, I 45; 2.341 Å, I 62

Lattice parameters (Å, degrees): 6.174 4.816 7.040 90.00 109.62 90.00
Element x y z (fractional)
Ac (0.179, 0.250, 0.337)
Ac (0.821, 0.750, 0.663)
Cr (0.373, 0.001, 0.814)
Cr (0.373, 0.499, 0.814)
Cr (0.627, 0.501, 0.186)
Cr (0.627, 0.999, 0.186)
P (0.286, 0.750, 0.063)
P (0.714, 0.250, 0.937)
N (0.144, 0.250, 0.695)
N (0.386, 0.750, 0.624)
N (0.614, 0.250, 0.376)
N (0.856, 0.750, 0.305)



[2]
Sr4Li3H10: calculated powder XRD pattern (copper Kα), based on a structure optimized by DFT (GGA-PBE).

Largest 8 diffraction maxima, in order of rising 2θ, 15° ≤ 2θ ≤ 90°:
3.778 Å, I 88; 3.539 Å, I 56; 2.774 Å, I 100; 2.696 Å, I 60; 2.145 Å, I 46; 1.906 Å, I 23; 1.692 Å, I 24; 1.571 Å, I 36

Lattice parameters (Å, degrees): 14.414 14.414 14.414 164.80 164.80 21.56
Element x y z (fractional)
Sr (0.067, 0.067, 0.000)
Sr (0.199, 0.199, 0.000)
Sr (0.801, 0.801, 0.000)
Sr (0.933, 0.933, 0.000)
Li (0.366, 0.366, 0.000)
Li (0.500, 0.500, 0.000)
Li (0.634, 0.634, 0.000)
H (0.000, 0.500, 0.500)
H (0.135, 0.635, 0.500)
H (0.289, 0.289, 0.000)
H (0.365, 0.865, 0.500)
H (0.433, 0.433, 0.000)
H (0.500, 0.000, 0.500)
H (0.567, 0.567, 0.000)
H (0.635, 0.135, 0.500)
H (0.711, 0.711, 0.000)
H (0.865, 0.365, 0.500)